NaLiCO3: computed X-ray powder pattern (Cu Kα, 1.54184 Å), based on the GGA-PBE geometry in the Materials Project.
Kinematic intensities with the Lorentz-polarization factor, no thermal factor.

Principal peaks in the range 2θ = 10–90°, most intense first:
| d/Å | I/Imax | h k l |
| --- | --- | --- |
| 3.035 | 100.0 | 1 0 1 |
| 2.614 | 63.8 | 1 1 1 |
| 2.424 | 42.1 | 3 0 0 |
| 4.199 | 40.2 | 1 1 0 |
| 2.460 | 24.9 | 2 0 1 |
| 1.727 | 23.5 | 3 1 1 |
| 1.670 | 22.1 | 0 0 2 |
| 2.749 | 22.0 | 1 2 0 |
| 2.122 | 21.5 | 2 1 1 |
| 1.962 | 21.5 | 3 0 1 |

Structure:
a b c (Å): 8.3975 8.3975 3.3398
angles (deg): 90.00 90.00 120.00
Space group P-6 (No. 174)
Inequivalent atoms, fractional coordinates:
Na1 0.0412 0.6952 0.0000
Li1 0.3664 0.0419 0.5000
C1 0.0000 0.0000 0.5000
C2 0.3333 0.6667 0.5000
C3 0.6667 0.3333 0.0000
O1 0.0806 0.1785 0.5000
O2 0.1545 0.5765 0.5000
O3 0.4942 0.2039 0.0000